# LiNiSbO4
Calculated PXRD pattern, copper Kα. Input: a crystal structure in the Materials Project, relaxed with GGA+U.

Largest 10 diffraction maxima, most intense first, 2θ from 10° to 80°:
h k l, two_theta, I_rel
3 1 1, 33.9, 1000
1 0 1, 19.0, 803
2 1 0, 22.2, 632
0 2 0, 29.7, 462
1 2 1, 35.5, 388
0 4 0, 61.5, 274
3 3 1, 55.4, 242
0 2 2, 46.1, 238
6 0 0, 51.3, 177
6 2 0, 60.3, 149

Crystal structure
```
LiNiSbO4
1.0
10.694 0.000 0.000
0.000 6.025 0.000
0.000 0.000 5.196
Li Ni Sb O
4 4 4 16
Cartesian
0.000 0.000 0.000 Li
0.000 3.012 0.000 Li
5.347 0.000 2.598 Li
5.347 3.012 2.598 Li
2.469 1.506 2.569 Ni
2.877 4.519 5.168 Ni
7.816 1.506 0.029 Ni
8.224 4.519 2.627 Ni
1.054 4.519 2.370 Sb
4.293 1.506 4.968 Sb
6.401 4.519 0.228 Sb
9.639 1.506 2.826 Sb
0.693 1.506 3.600 O
1.002 4.519 4.265 O
1.869 3.093 1.368 O
1.869 5.944 1.368 O
3.478 0.080 3.967 O
3.478 2.932 3.967 O
4.345 1.506 1.667 O
4.654 4.519 1.002 O
6.040 1.506 4.194 O
6.349 4.519 3.530 O
7.216 3.093 1.230 O
7.216 5.944 1.230 O
8.825 0.080 3.828 O
8.825 2.932 3.828 O
9.692 1.506 0.931 O
10.001 4.519 1.596 O
```